1.
Diffraction record for SrCa2Sn8. The X-ray diffraction stick pattern is simulated, not measured: it uses the PBE geometry in Alexandria and Cu Kα (λ = 1.5418 Å).

Cell and atoms:
```
data_SrCa2Sn8
_cell_length_a 17.023
_cell_length_b 6.398
_cell_length_c 6.254
_cell_angle_alpha 90.00
_cell_angle_beta 100.83
_cell_angle_gamma 90.00
_symmetry_space_group_name_H-M 'C 1 2/m 1'
_symmetry_Int_Tables_number 12
_symmetry_space_group_name_Hall '-C 2y'
loop_
_atom_site_label
_atom_site_type_symbol
_atom_site_fract_x
_atom_site_fract_y
_atom_site_fract_z
Sr1 Sr 0.000 0.000 0.000
Ca1 Ca 0.173 0.500 0.822
Sn1 Sn 0.018 0.500 0.254
Sn2 Sn 0.092 0.000 0.595
Sn3 Sn 0.175 0.262 0.307
```

The 6 most intense peaks (2θ = 10–90°), by angle:
2θ/deg  I_rel  h k l
16.2  48  2 0 -1
28.0  55  4 0 1
29.9  100  2 2 0
31.9  83  1 1 -2
32.4  71  2 2 -1
36.7  59  4 2 -1

=====

2.
Diffraction record for Ca3SnTe4. The X-ray diffraction stick pattern is simulated, not measured: it uses the PBE geometry in Alexandria and Cu Kα (λ = 1.5418 Å).

Cell and atoms:
```
data_Ca3SnTe4
_cell_length_a 6.349
_cell_length_b 10.849
_cell_length_c 9.407
_cell_angle_alpha 90.00
_cell_angle_beta 90.00
_cell_angle_gamma 90.00
_symmetry_space_group_name_H-M 'P m m n'
_symmetry_Int_Tables_number 59
loop_
_symmetry_equiv_pos_as_xyz
'x,y,z'
'-x,-y,-z'
'-x+1/2,-y+1/2,z'
'x+1/2,y+1/2,-z'
'x+1/2,-y,-z'
'-x+1/2,y,z'
'-x,y+1/2,-z'
'x,-y+1/2,z'
loop_
_atom_site_label
_atom_site_type_symbol
_atom_site_fract_x
_atom_site_fract_y
_atom_site_fract_z
Ca1 Ca 0.250 0.000 0.167
Ca2 Ca 0.250 0.250 0.664
Sn1 Sn 0.250 0.750 0.668
Te1 Te 0.250 0.002 0.834
Te2 Te 0.250 0.250 0.332
Te3 Te 0.250 0.750 0.333
```

The 6 most intense peaks (2θ = 10–90°), by angle:
2θ/deg  I_rel  h k l
18.9  100  0 2 1
23.5  38  1 0 2
28.1  50  2 0 0
33.0  67  0 2 3
34.1  45  2 2 1
43.9  88  2 4 0

=====

3.
Diffraction record for CaTlSn6. The X-ray diffraction stick pattern is simulated, not measured: it uses the PBE geometry in Alexandria and Cu Kα (λ = 1.5418 Å).

Cell and atoms:
```
data_CaTlSn6
_cell_length_a 6.3711
_cell_length_b 6.3711
_cell_length_c 6.3569
_cell_angle_alpha 90.00
_cell_angle_beta 90.00
_cell_angle_gamma 120.00
_symmetry_space_group_name_H-M 'P 6/m m m'
_symmetry_Int_Tables_number 191
_symmetry_space_group_name_Hall '-P 6 2'
loop_
_atom_site_label
_atom_site_type_symbol
_atom_site_fract_x
_atom_site_fract_y
_atom_site_fract_z
Ca1 Ca 0.0000 0.0000 0.0000
Tl1 Tl 0.0000 0.0000 0.5000
Sn1 Sn 0.0000 0.5000 0.2487
```

The 6 most intense peaks (2θ = 10–90°), by angle:
2θ/deg  I_rel  h k l
32.5  100  2 0 0
40.1  19  1 1 2
52.5  17  2 1 2
57.9  20  2 2 0
68.0  16  4 0 0
68.1  17  2 0 4

=====

4.
Diffraction record for Ca5Tl2Sn. The X-ray diffraction stick pattern is simulated, not measured: it uses the PBE geometry in Alexandria and Cu Kα (λ = 1.5418 Å).

Cell and atoms:
```
data_Ca5Tl2Sn
_cell_length_a 8.393
_cell_length_b 8.393
_cell_length_c 14.716
_cell_angle_alpha 90.00
_cell_angle_beta 90.00
_cell_angle_gamma 90.00
_symmetry_space_group_name_H-M 'I 4/m c m'
_symmetry_Int_Tables_number 140
_symmetry_space_group_name_Hall '-I 4 2c'
loop_
_atom_site_label
_atom_site_type_symbol
_atom_site_fract_x
_atom_site_fract_y
_atom_site_fract_z
Ca1 Ca 0.000 0.000 0.000
Ca2 Ca 0.171 0.329 0.147
Tl1 Tl 0.127 0.373 0.500
Sn1 Sn 0.000 0.000 0.250
```

The 6 most intense peaks (2θ = 10–90°), by angle:
2θ/deg  I_rel  h k l
12.0  47  0 0 2
19.2  60  1 1 2
24.5  46  2 1 1
30.0  100  2 1 3
33.8  46  3 1 0
38.9  27  2 1 5

=====

5.
Diffraction record for CaTlSn. The X-ray diffraction stick pattern is simulated, not measured: it uses the PBE geometry in Alexandria and Cu Kα (λ = 1.5418 Å).

Cell and atoms:
```
data_CaTlSn
_cell_length_a 5.2209
_cell_length_b 5.2209
_cell_length_c 3.7032
_cell_angle_alpha 90.00
_cell_angle_beta 90.00
_cell_angle_gamma 120.00
_symmetry_space_group_name_H-M 'P 3 m 1'
_symmetry_Int_Tables_number 156
_symmetry_space_group_name_Hall 'P 3 -2"'
loop_
_atom_site_label
_atom_site_type_symbol
_atom_site_fract_x
_atom_site_fract_y
_atom_site_fract_z
Ca1 Ca 0.0000 0.0000 0.0000
Tl1 Tl 0.3333 0.6667 0.3414
Sn1 Sn 0.6667 0.3333 0.5917
```

The 6 most intense peaks (2θ = 10–90°), by angle:
2θ/deg  I_rel  h k l
19.6  42  1 0 0
31.2  100  0 1 1
34.4  79  1 1 0
47.1  32  2 0 1
53.5  28  1 0 2
59.6  32  1 2 1

=====

6.
Diffraction record for CaTl6Sn12. The X-ray diffraction stick pattern is simulated, not measured: it uses the PBE geometry in Alexandria and Cu Kα (λ = 1.5418 Å).

Cell and atoms:
```
data_CaTl6Sn12
_cell_length_a 12.6335
_cell_length_b 12.6335
_cell_length_c 12.4478
_cell_angle_alpha 90.00
_cell_angle_beta 90.00
_cell_angle_gamma 120.00
_symmetry_space_group_name_H-M 'R -3'
_symmetry_Int_Tables_number 148
_symmetry_space_group_name_Hall '-R 3'
loop_
_atom_site_label
_atom_site_type_symbol
_atom_site_fract_x
_atom_site_fract_y
_atom_site_fract_z
Ca1 Ca 0.0000 0.0000 0.0000
Tl1 Tl 0.0535 0.8664 0.7776
Sn1 Sn 0.0534 0.5865 0.7207
Sn2 Sn 0.0961 0.8654 0.4225
```

The 6 most intense peaks (2θ = 10–90°), by angle:
2θ/deg  I_rel  h k l
24.4  32  3 0 0
25.7  28  2 -1 3
30.3  33  1 3 1
32.7  100  0 3 3
32.8  47  4 -1 2
37.7  34  4 1 0

=====

7.
Diffraction record for Ca2TmSn9. The X-ray diffraction stick pattern is simulated, not measured: it uses the PBE geometry in Alexandria and Cu Kα (λ = 1.5418 Å).

Cell and atoms:
```
data_Ca2TmSn9
_cell_length_a 4.743
_cell_length_b 4.743
_cell_length_c 14.190
_cell_angle_alpha 90.00
_cell_angle_beta 90.00
_cell_angle_gamma 90.00
_symmetry_space_group_name_H-M 'P 4/m m m'
_symmetry_Int_Tables_number 123
_symmetry_space_group_name_Hall '-P 4 2'
loop_
_atom_site_label
_atom_site_type_symbol
_atom_site_fract_x
_atom_site_fract_y
_atom_site_fract_z
Ca1 Ca 0.000 0.000 0.169
Tm1 Tm 0.000 0.000 0.500
Sn1 Sn 0.000 0.500 0.000
Sn2 Sn 0.000 0.500 0.337
Sn3 Sn 0.500 0.500 0.168
Sn4 Sn 0.500 0.500 0.500
```

The 6 most intense peaks (2θ = 10–90°), by angle:
2θ/deg  I_rel  h k l
32.7  100  1 1 3
37.9  34  2 0 0
38.0  17  0 0 6
54.8  35  2 2 0
65.3  28  3 1 3
65.4  14  1 1 9

=====

8.
Diffraction record for Ca3USn12. The X-ray diffraction stick pattern is simulated, not measured: it uses the PBE geometry in Alexandria and Cu Kα (λ = 1.5418 Å).

Cell and atoms:
```
data_Ca3USn12
_cell_length_a 4.706
_cell_length_b 4.706
_cell_length_c 19.082
_cell_angle_alpha 90.00
_cell_angle_beta 90.00
_cell_angle_gamma 90.00
_symmetry_space_group_name_H-M 'P 4/m m m'
_symmetry_Int_Tables_number 123
_symmetry_space_group_name_Hall '-P 4 2'
loop_
_atom_site_label
_atom_site_type_symbol
_atom_site_fract_x
_atom_site_fract_y
_atom_site_fract_z
Ca1 Ca 0.000 0.000 0.000
Ca2 Ca 0.000 0.000 0.255
U1 U 0.000 0.000 0.500
Sn1 Sn 0.000 0.500 0.126
Sn2 Sn 0.000 0.500 0.378
Sn3 Sn 0.500 0.500 0.000
Sn4 Sn 0.500 0.500 0.252
Sn5 Sn 0.500 0.500 0.500
```

The 6 most intense peaks (2θ = 10–90°), by angle:
2θ/deg  I_rel  h k l
32.8  100  1 1 4
37.7  17  0 0 8
38.3  33  2 0 0
54.8  24  2 0 8
65.0  14  1 1 12
65.7  28  3 1 4

=====

9.
Diffraction record for CaYSn2. The X-ray diffraction stick pattern is simulated, not measured: it uses the PBE geometry in Alexandria and Cu Kα (λ = 1.5418 Å).

Cell and atoms:
```
data_CaYSn2
_cell_length_a 4.281
_cell_length_b 6.210
_cell_length_c 8.671
_cell_angle_alpha 90.00
_cell_angle_beta 90.00
_cell_angle_gamma 90.00
_symmetry_space_group_name_H-M 'P m c 21'
_symmetry_Int_Tables_number 26
_symmetry_space_group_name_Hall 'P 2c -2'
loop_
_atom_site_label
_atom_site_type_symbol
_atom_site_fract_x
_atom_site_fract_y
_atom_site_fract_z
Ca1 Ca 0.000 0.123 0.000
Y1 Y 0.500 0.367 0.635
Sn1 Sn 0.000 0.414 0.362
Sn2 Sn 0.500 0.109 0.276
```

The 6 most intense peaks (2θ = 10–90°), by angle:
2θ/deg  I_rel  h k l
17.6  40  0 1 1
29.3  64  1 0 2
30.6  38  0 2 1
32.7  100  1 1 2
37.2  100  1 2 1
42.2  32  2 0 0

=====

10.
Diffraction record for CaZnSn. The X-ray diffraction stick pattern is simulated, not measured: it uses the PBE geometry in Alexandria and Cu Kα (λ = 1.5418 Å).

Cell and atoms:
```
data_CaZnSn
_cell_length_a 4.654
_cell_length_b 6.021
_cell_length_c 6.160
_cell_angle_alpha 76.23
_cell_angle_beta 67.95
_cell_angle_gamma 67.30
_symmetry_space_group_name_H-M 'P -1'
_symmetry_Int_Tables_number 2
_symmetry_space_group_name_Hall '-P 1'
loop_
_atom_site_label
_atom_site_type_symbol
_atom_site_fract_x
_atom_site_fract_y
_atom_site_fract_z
Ca1 Ca 0.045 0.205 0.204
Zn1 Zn 0.355 0.203 0.590
Sn1 Sn 0.325 0.619 0.226
```

The 6 most intense peaks (2θ = 10–90°), by angle:
2θ/deg  I_rel  h k l
21.8  29  1 1 1
23.7  40  0 1 -1
30.8  59  1 0 -1
32.7  69  1 2 0
37.5  100  1 2 2
38.7  55  2 1 1

=====

11.
Diffraction record for CaZnSn6. The X-ray diffraction stick pattern is simulated, not measured: it uses the PBE geometry in Alexandria and Cu Kα (λ = 1.5418 Å).

Cell and atoms:
```
data_CaZnSn6
_cell_length_a 9.185
_cell_length_b 16.477
_cell_length_c 5.720
_cell_angle_alpha 90.00
_cell_angle_beta 90.00
_cell_angle_gamma 90.00
_symmetry_space_group_name_H-M 'C m m e'
_symmetry_Int_Tables_number 67
_symmetry_space_group_name_Hall '-C 2a 2'
loop_
_atom_site_label
_atom_site_type_symbol
_atom_site_fract_x
_atom_site_fract_y
_atom_site_fract_z
Ca1 Ca 0.000 0.250 0.221
Zn1 Zn 0.250 0.000 0.000
Sn1 Sn 0.000 0.045 0.271
Sn2 Sn 0.169 0.150 0.741
```

The 6 most intense peaks (2θ = 10–90°), by angle:
2θ/deg  I_rel  h k l
31.3  50  0 0 2
32.8  100  1 5 1
33.6  88  3 1 1
37.1  24  3 3 1
38.7  23  2 2 2
43.3  38  2 4 2

=====

12.
Diffraction record for Ca12Zn6Sn. The X-ray diffraction stick pattern is simulated, not measured: it uses the PBE geometry in Alexandria and Cu Kα (λ = 1.5418 Å).

Cell and atoms:
```
data_Ca12Zn6Sn
_cell_length_a 10.457
_cell_length_b 10.457
_cell_length_c 10.457
_cell_angle_alpha 90.00
_cell_angle_beta 90.00
_cell_angle_gamma 90.00
_symmetry_space_group_name_H-M 'I m -3'
_symmetry_Int_Tables_number 204
_symmetry_space_group_name_Hall '-I 2 2 3'
loop_
_atom_site_label
_atom_site_type_symbol
_atom_site_fract_x
_atom_site_fract_y
_atom_site_fract_z
Ca1 Ca 0.000 0.290 0.186
Zn1 Zn 0.000 0.122 0.500
Sn1 Sn 0.000 0.000 0.000
```

The 6 most intense peaks (2θ = 10–90°), by angle:
2θ/deg  I_rel  h k l
17.0  36  2 0 0
29.6  27  2 2 2
32.0  100  3 1 2
34.3  18  4 0 0
36.5  22  4 1 1
44.2  38  4 3 1

=====

13.
Diffraction record for SrCa. The X-ray diffraction stick pattern is simulated, not measured: it uses the PBE geometry in Alexandria and Cu Kα (λ = 1.5418 Å).

Cell and atoms:
Cell lengths 9.118, 9.118, 9.118 Å; angles 90.00, 90.00, 90.00 degrees
Space group Fd-3m (No. 227, origin choice 2)
One atom of each set of equivalent atoms:
Sr: 0.125 0.125 0.125 (multiplicity 8)
Ca: 0.125 0.125 0.625 (multiplicity 8)

The 6 most intense peaks (2θ = 10–90°), by angle:
2θ/deg  I_rel  h k l
16.8  12  1 1 1
27.7  100  2 2 0
39.5  19  4 0 0
48.9  39  4 2 2
64.6  17  6 2 0
78.5  19  6 4 2